(1)
Computed powder diffraction line list
Compound: MgTe4Mo2WS2
Radiation: Cu Ka
Structure: a crystal structure in the Materials Project, relaxed with PBE
Lines closer than 0.1° are merged.

Top 10 peaks for 5 to 70 degrees two-theta, low angle first:
5.6 deg, rel. 100.0, (0 0 2)
11.2 deg, rel. 59.7, (0 0 4)
16.8 deg, rel. 8.6, (0 0 6)
30.3 deg, rel. 32.1, (0 1 0)
34.9 deg, rel. 33.8, (1 1 6)
36.4 deg, rel. 34.4, (0 1 7)
39.9 deg, rel. 9.7, (1 1 9)
41.9 deg, rel. 14.5, (1 1 10)
43.9 deg, rel. 22.5, (0 1 11)
53.9 deg, rel. 18.2, (2 1 0)

Atomic structure:
```
data_MgTe4Mo2WS2
_cell_length_a 3.403
_cell_length_b 3.403
_cell_length_c 31.699
_cell_angle_alpha 90.00
_cell_angle_beta 90.00
_cell_angle_gamma 60.01
_space_group_name_H-M_alt 'P 1'
_space_group_IT_number 1
_space_group_name_Hall 'P 1'
loop_
_atom_site_label
_atom_site_fract_x
_atom_site_fract_y
_atom_site_fract_z
Mg1 0.000 0.000 0.000
Te1 0.977 0.032 0.214
Te2 0.977 0.032 0.332
Te3 0.977 0.032 0.677
Te4 0.977 0.032 0.795
Mo1 0.643 0.699 0.273
Mo2 0.643 0.699 0.736
W1 0.977 0.032 0.504
S1 0.643 0.699 0.457
S2 0.643 0.699 0.552
```

=====

(2)
Computed powder diffraction line list
Compound: MgTe4Mo2W2S4
Radiation: Cu Ka
Structure: a crystal structure in the Materials Project, relaxed with PBE
Lines closer than 0.1° are merged.

Top 10 peaks for 5 to 70 degrees two-theta, low angle first:
6.9 deg, rel. 100.0, (0 0 3)
11.5 deg, rel. 85.3, (0 0 5)
30.4 deg, rel. 30.9, (1 0 0)
30.7 deg, rel. 19.3, (0 1 2)
32.6 deg, rel. 17.7, (1 0 5)
33.5 deg, rel. 20.2, (0 1 6)
35.8 deg, rel. 92.7, (1 0 8)
38.6 deg, rel. 34.5, (0 1 10)
43.4 deg, rel. 43.6, (0 1 13)
54.0 deg, rel. 27.7, (1 1 0)

Atomic structure:
```
data_MgTe4Mo2W2S4
_cell_length_a 3.3978
_cell_length_b 3.3978
_cell_length_c 38.3286
_cell_angle_alpha 90.00
_cell_angle_beta 90.00
_cell_angle_gamma 120.00
_space_group_name_H-M_alt 'P 3 m 1'
_space_group_IT_number 156
_space_group_name_Hall 'P 3 -2"'
loop_
_atom_site_label
_atom_site_fract_x
_atom_site_fract_y
_atom_site_fract_z
Mg1 0.0000 0.0000 0.0000
Te1 0.3333 0.6667 0.2332
Te2 0.3333 0.6667 0.3316
Te3 0.6667 0.3333 0.6696
Te4 0.6667 0.3333 0.7679
Mo1 0.3333 0.6667 0.0955
Mo2 0.6667 0.3333 0.9055
W1 0.3333 0.6667 0.7187
W2 0.6667 0.3333 0.2824
S1 0.3333 0.6667 0.8671
S2 0.3333 0.6667 0.9471
S3 0.6667 0.3333 0.0542
S4 0.6667 0.3333 0.1340
```

=====

(3)
Computed powder diffraction line list
Compound: MgTe4Mo2WS2
Radiation: Cu Ka
Structure: a crystal structure in the Materials Project, relaxed with PBE
Lines closer than 0.1° are merged.

Top 10 peaks for 5 to 70 degrees two-theta, low angle first:
9.3 deg, rel. 100.0, (0 0 4)
11.6 deg, rel. 17.5, (0 0 5)
30.3 deg, rel. 28.7, (1 0 0)
31.7 deg, rel. 12.6, (0 1 4)
33.5 deg, rel. 16.9, (1 0 6)
34.6 deg, rel. 18.6, (0 1 7)
37.1 deg, rel. 9.6, (0 1 9)
38.6 deg, rel. 19.0, (1 0 10)
40.1 deg, rel. 33.0, (1 0 11)
53.7 deg, rel. 16.3, (1 1 0)

Atomic structure:
```
data_MgTe4Mo2WS2
_cell_length_a 3.4116
_cell_length_b 3.4116
_cell_length_c 38.0597
_cell_angle_alpha 90.00
_cell_angle_beta 90.00
_cell_angle_gamma 120.00
_space_group_name_H-M_alt 'P 3 m 1'
_space_group_IT_number 156
_space_group_name_Hall 'P 3 -2"'
loop_
_atom_site_label
_atom_site_fract_x
_atom_site_fract_y
_atom_site_fract_z
Mg1 0.0000 0.0000 0.0000
Te1 0.6667 0.3333 0.2946
Te2 0.6667 0.3333 0.3928
Te3 0.6667 0.3333 0.8264
Te4 0.6667 0.3333 0.9250
Mo1 0.3333 0.6667 0.3437
Mo2 0.3333 0.6667 0.8754
W1 0.6667 0.3333 0.1221
S1 0.3333 0.6667 0.0826
S2 0.3333 0.6667 0.1614
```

=====

(4)
Computed powder diffraction line list
Compound: MgTe2Mo2WS4
Radiation: Cu Ka
Structure: a crystal structure in the Materials Project, relaxed with PBE
Lines closer than 0.1° are merged.

Top 10 peaks for 5 to 70 degrees two-theta, low angle first:
9.9 deg, rel. 100.0, (0 0 4)
12.3 deg, rel. 13.3, (0 0 5)
31.2 deg, rel. 15.9, (1 1 0)
31.3 deg, rel. 13.0, (2 0 1)
34.7 deg, rel. 18.1, (1 1 -6)
35.9 deg, rel. 16.1, (1 1 7)
40.2 deg, rel. 10.8, (1 1 -10)
41.9 deg, rel. 10.9, (2 0 -11)
42.0 deg, rel. 12.7, (1 1 11)
55.6 deg, rel. 13.4, (3 1 0)

Atomic structure:
```
data_MgTe2Mo2WS4
_cell_length_a 5.727
_cell_length_b 3.306
_cell_length_c 35.907
_cell_angle_alpha 90.00
_cell_angle_beta 90.21
_cell_angle_gamma 90.00
_space_group_name_H-M_alt 'C 1 m 1'
_space_group_IT_number 8
_space_group_name_Hall 'C -2y'
loop_
_atom_site_label
_atom_site_fract_x
_atom_site_fract_y
_atom_site_fract_z
Mg1 0.000 0.000 0.000
Te1 0.331 0.000 0.291
Te2 0.333 0.000 0.398
Mo1 0.332 0.000 0.117
Mo2 0.499 0.500 0.344
W1 0.001 0.000 0.872
S1 0.000 0.000 0.159
S2 0.333 0.000 0.829
S3 0.335 0.000 0.915
S4 0.498 0.500 0.074
```

=====

(5)
Computed powder diffraction line list
Compound: MgTe4Mo2WS2
Radiation: Cu Ka
Structure: a crystal structure in the Materials Project, relaxed with PBE
Lines closer than 0.1° are merged.

Top 10 peaks for 5 to 70 degrees two-theta, low angle first:
9.7 deg, rel. 100.0, (0 0 4)
12.1 deg, rel. 14.2, (0 0 5)
30.0 deg, rel. 22.7, (2 0 0)
33.5 deg, rel. 21.1, (1 1 6)
34.7 deg, rel. 22.7, (2 0 7)
37.4 deg, rel. 14.3, (1 1 -9)
39.0 deg, rel. 16.5, (1 1 10)
40.6 deg, rel. 18.6, (1 1 -11)
40.7 deg, rel. 18.4, (2 0 11)
53.3 deg, rel. 18.4, (3 1 0)

Atomic structure:
```
data_MgTe4Mo2WS2
_cell_length_a 5.951
_cell_length_b 3.435
_cell_length_c 36.597
_cell_angle_alpha 90.00
_cell_angle_beta 90.17
_cell_angle_gamma 90.00
_space_group_name_H-M_alt 'C 1 m 1'
_space_group_IT_number 8
_space_group_name_Hall 'C -2y'
loop_
_atom_site_label
_atom_site_fract_x
_atom_site_fract_y
_atom_site_fract_z
Mg1 0.000 0.000 0.000
Te1 0.333 0.000 0.083
Te2 0.334 0.000 0.615
Te3 0.335 0.000 0.184
Te4 0.335 0.000 0.717
Mo1 0.168 0.500 0.134
Mo2 0.335 0.000 0.889
W1 0.168 0.500 0.666
S1 0.167 0.500 0.849
S2 0.170 0.500 0.930
```

=====

(6)
Computed powder diffraction line list
Compound: MgTe4Mo2WS2
Radiation: Cu Ka
Structure: a crystal structure in the Materials Project, relaxed with PBE
Lines closer than 0.1° are merged.

Top 10 peaks for 5 to 70 degrees two-theta, low angle first:
9.5 deg, rel. 100.0, (0 0 4)
30.1 deg, rel. 21.7, (2 0 0)
30.5 deg, rel. 11.5, (1 1 -2)
31.6 deg, rel. 11.8, (1 1 -4)
33.4 deg, rel. 18.5, (1 1 6)
34.5 deg, rel. 17.5, (2 0 7)
37.2 deg, rel. 15.3, (2 0 9)
38.7 deg, rel. 20.2, (1 1 10)
40.3 deg, rel. 33.0, (2 0 11)
53.4 deg, rel. 16.3, (3 1 0)

Atomic structure:
```
data_MgTe4Mo2WS2
_cell_length_a 5.942
_cell_length_b 3.431
_cell_length_c 37.371
_cell_angle_alpha 90.00
_cell_angle_beta 90.06
_cell_angle_gamma 90.00
_space_group_name_H-M_alt 'C 1 m 1'
_space_group_IT_number 8
_space_group_name_Hall 'C -2y'
loop_
_atom_site_label
_atom_site_fract_x
_atom_site_fract_y
_atom_site_fract_z
Mg1 0.000 0.000 0.000
Te1 0.332 0.000 0.282
Te2 0.332 0.000 0.812
Te3 0.333 0.000 0.381
Te4 0.333 0.000 0.912
Mo1 0.166 0.500 0.331
Mo2 0.332 0.000 0.106
W1 0.166 0.500 0.862
S1 0.165 0.500 0.066
S2 0.166 0.500 0.146
```

=====

(7)
Computed powder diffraction line list
Compound: MgTe4Mo2W2S4
Radiation: Cu Ka
Structure: a crystal structure in the Materials Project, relaxed with PBE
Lines closer than 0.1° are merged.

Top 10 peaks for 5 to 70 degrees two-theta, low angle first:
6.1 deg, rel. 54.9, (0 0 3)
10.1 deg, rel. 100.0, (0 0 5)
12.1 deg, rel. 15.9, (0 0 6)
30.7 deg, rel. 22.6, (1 1 0)
32.4 deg, rel. 11.7, (1 1 -5)
34.9 deg, rel. 42.3, (1 1 8)
37.0 deg, rel. 15.2, (1 1 -10)
37.1 deg, rel. 11.1, (2 0 10)
40.9 deg, rel. 30.7, (1 1 -13)
54.5 deg, rel. 17.5, (3 1 0)

Atomic structure:
```
data_MgTe4Mo2W2S4
_cell_length_a 5.833
_cell_length_b 3.367
_cell_length_c 43.793
_cell_angle_alpha 90.00
_cell_angle_beta 90.15
_cell_angle_gamma 90.00
_space_group_name_H-M_alt 'C 1 m 1'
_space_group_IT_number 8
_space_group_name_Hall 'C -2y'
loop_
_atom_site_label
_atom_site_fract_x
_atom_site_fract_y
_atom_site_fract_z
Mg1 0.000 0.000 0.000
Te1 0.001 0.000 0.328
Te2 0.167 0.500 0.678
Te3 0.168 0.500 0.764
Te4 0.499 0.500 0.241
Mo1 0.166 0.500 0.904
Mo2 0.167 0.500 0.285
W1 0.001 0.000 0.721
W2 0.499 0.500 0.105
S1 0.000 0.000 0.939
S2 0.165 0.500 0.070
S3 0.166 0.500 0.139
S4 0.499 0.500 0.870
```

=====

(8)
Computed powder diffraction line list
Compound: MgTe4Mo2W2S4
Radiation: Cu Ka
Structure: a crystal structure in the Materials Project, relaxed with PBE
Lines closer than 0.1° are merged.

Top 10 peaks for 5 to 70 degrees two-theta, low angle first:
6.3 deg, rel. 67.7, (0 0 3)
10.5 deg, rel. 100.0, (0 0 5)
12.7 deg, rel. 17.8, (0 0 6)
30.6 deg, rel. 34.8, (1 1 0)
30.9 deg, rel. 9.3, (2 0 -2)
32.4 deg, rel. 14.0, (2 0 5)
35.2 deg, rel. 55.5, (1 1 8)
37.5 deg, rel. 24.8, (1 1 -10)
41.7 deg, rel. 44.7, (1 1 -13)
54.4 deg, rel. 19.9, (3 1 0)

Atomic structure:
```
data_MgTe4Mo2W2S4
_cell_length_a 5.844
_cell_length_b 3.374
_cell_length_c 41.958
_cell_angle_alpha 90.00
_cell_angle_beta 90.08
_cell_angle_gamma 90.00
_space_group_name_H-M_alt 'C 1 m 1'
_space_group_IT_number 8
_space_group_name_Hall 'C -2y'
loop_
_atom_site_label
_atom_site_fract_x
_atom_site_fract_y
_atom_site_fract_z
Mg1 0.000 0.000 0.000
Te1 0.002 0.000 0.231
Te2 0.003 0.000 0.321
Te3 0.168 0.500 0.667
Te4 0.169 0.500 0.757
Mo1 0.001 0.000 0.093
Mo2 0.002 0.000 0.712
W1 0.168 0.500 0.897
W2 0.169 0.500 0.276
S1 0.001 0.000 0.861
S2 0.002 0.000 0.933
S3 0.167 0.500 0.057
S4 0.168 0.500 0.129
```

=====

(9)
Computed powder diffraction line list
Compound: MgTe4Mo2W2S4
Radiation: Cu Ka
Structure: a crystal structure in the Materials Project, relaxed with PBE
Lines closer than 0.1° are merged.

Top 10 peaks for 5 to 70 degrees two-theta, low angle first:
6.4 deg, rel. 90.0, (0 0 3)
8.6 deg, rel. 16.8, (0 0 4)
10.7 deg, rel. 100.0, (0 0 5)
12.9 deg, rel. 14.2, (0 0 6)
30.5 deg, rel. 31.3, (1 1 0)
32.4 deg, rel. 13.1, (1 1 -5)
35.2 deg, rel. 64.8, (1 1 8)
37.7 deg, rel. 34.6, (1 1 -10)
42.0 deg, rel. 46.6, (1 1 -13)
54.2 deg, rel. 21.9, (3 1 0)

Atomic structure:
```
data_MgTe4Mo2W2S4
_cell_length_a 5.859
_cell_length_b 3.382
_cell_length_c 41.236
_cell_angle_alpha 90.00
_cell_angle_beta 90.09
_cell_angle_gamma 90.00
_space_group_name_H-M_alt 'C 1 m 1'
_space_group_IT_number 8
_space_group_name_Hall 'C -2y'
loop_
_atom_site_label
_atom_site_fract_x
_atom_site_fract_y
_atom_site_fract_z
Mg1 0.000 0.000 0.000
Te1 0.331 0.000 0.241
Te2 0.332 0.000 0.333
Te3 0.498 0.500 0.677
Te4 0.499 0.500 0.769
Mo1 0.000 0.000 0.907
Mo2 0.332 0.000 0.102
W1 0.332 0.000 0.723
W2 0.498 0.500 0.287
S1 0.333 0.000 0.870
S2 0.333 0.000 0.944
S3 0.498 0.500 0.066
S4 0.499 0.500 0.138
```

=====

(10)
Computed powder diffraction line list
Compound: MgTe4Mo2W2S4
Radiation: Cu Ka
Structure: a crystal structure in the Materials Project, relaxed with PBE
Lines closer than 0.1° are merged.

Top 10 peaks for 5 to 70 degrees two-theta, low angle first:
6.3 deg, rel. 52.4, (0 0 3)
10.4 deg, rel. 100.0, (0 0 5)
12.5 deg, rel. 19.8, (0 0 6)
30.6 deg, rel. 33.2, (1 1 0)
32.4 deg, rel. 11.2, (2 0 5)
35.1 deg, rel. 51.7, (1 1 8)
37.4 deg, rel. 23.6, (1 1 -10)
41.5 deg, rel. 43.3, (1 1 -13)
43.1 deg, rel. 10.7, (2 0 -14)
54.4 deg, rel. 19.5, (3 1 0)

Atomic structure:
```
data_MgTe4Mo2W2S4
_cell_length_a 5.842
_cell_length_b 3.374
_cell_length_c 42.330
_cell_angle_alpha 90.00
_cell_angle_beta 90.07
_cell_angle_gamma 90.00
_space_group_name_H-M_alt 'C 1 m 1'
_space_group_IT_number 8
_space_group_name_Hall 'C -2y'
loop_
_atom_site_label
_atom_site_fract_x
_atom_site_fract_y
_atom_site_fract_z
Mg1 0.000 0.000 0.000
Te1 0.331 0.000 0.242
Te2 0.332 0.000 0.332
Te3 0.498 0.500 0.679
Te4 0.499 0.500 0.768
Mo1 0.331 0.000 0.723
Mo2 0.499 0.500 0.906
W1 0.332 0.000 0.103
W2 0.498 0.500 0.287
S1 0.332 0.000 0.942
S2 0.333 0.000 0.871
S3 0.498 0.500 0.067
S4 0.499 0.500 0.138
```

=====

(11)
Computed powder diffraction line list
Compound: MgTe2Mo2WS4
Radiation: Cu Ka
Structure: a crystal structure in the Materials Project, relaxed with PBE
Lines closer than 0.1° are merged.

Top 10 peaks for 5 to 70 degrees two-theta, low angle first:
9.8 deg, rel. 100.0, (0 0 4)
12.2 deg, rel. 13.5, (0 0 5)
31.3 deg, rel. 15.2, (1 1 0)
32.9 deg, rel. 13.0, (1 1 -4)
34.8 deg, rel. 10.9, (1 1 6)
35.9 deg, rel. 9.2, (1 1 -7)
40.3 deg, rel. 10.4, (1 1 10)
41.8 deg, rel. 13.7, (1 1 -11)
41.9 deg, rel. 10.7, (2 0 11)
55.7 deg, rel. 13.8, (3 1 0)

Atomic structure:
```
data_MgTe2Mo2WS4
_cell_length_a 5.717
_cell_length_b 3.298
_cell_length_c 36.220
_cell_angle_alpha 90.00
_cell_angle_beta 90.29
_cell_angle_gamma 90.00
_space_group_name_H-M_alt 'C 1 m 1'
_space_group_IT_number 8
_space_group_name_Hall 'C -2y'
loop_
_atom_site_label
_atom_site_fract_x
_atom_site_fract_y
_atom_site_fract_z
Mg1 0.000 0.000 0.000
Te1 0.166 0.500 0.608
Te2 0.169 0.500 0.714
Mo1 0.169 0.500 0.888
Mo2 0.334 0.000 0.661
W1 0.334 0.000 0.133
S1 0.166 0.500 0.090
S2 0.169 0.500 0.175
S3 0.334 0.000 0.846
S4 0.337 0.000 0.931
```

=====

(12)
Computed powder diffraction line list
Compound: MgTe2Mo2WS4
Radiation: Cu Ka
Structure: a crystal structure in the Materials Project, relaxed with PBE
Lines closer than 0.1° are merged.

Top 10 peaks for 5 to 70 degrees two-theta, low angle first:
5.0 deg, rel. 100.0, (0 0 2)
10.1 deg, rel. 36.3, (0 0 4)
12.6 deg, rel. 5.6, (0 0 5)
17.7 deg, rel. 3.2, (0 0 7)
31.2 deg, rel. 6.8, (1 0 0)
31.3 deg, rel. 4.6, (1 1 1)
36.4 deg, rel. 4.8, (1 1 -7)
40.4 deg, rel. 3.3, (1 0 -10)
42.8 deg, rel. 3.9, (1 0 11)
55.6 deg, rel. 3.7, (1 -1 0)

Atomic structure:
```
data_MgTe2Mo2WS4
_cell_length_a 3.302
_cell_length_b 3.310
_cell_length_c 35.045
_cell_angle_alpha 88.57
_cell_angle_beta 89.89
_cell_angle_gamma 60.08
_space_group_name_H-M_alt 'P 1'
_space_group_IT_number 1
_space_group_name_Hall 'P 1'
loop_
_atom_site_label
_atom_site_fract_x
_atom_site_fract_y
_atom_site_fract_z
Mg1 0.000 0.000 0.000
Te1 0.012 0.975 0.710
Te2 0.997 0.008 0.601
Mo1 0.014 0.969 0.880
Mo2 0.337 0.325 0.656
W1 0.337 0.325 0.123
S1 0.010 0.977 0.167
S2 0.340 0.318 0.836
S3 0.354 0.287 0.924
S4 0.997 0.006 0.079
```